Entry 1:
Diffraction record for Al3Tl. The powder XRD pattern is computed, not measured: it uses a cell relaxed with GGA-PBE and a wavelength of 1.5418 Å.
Neutral-atom scattering factors, no anomalous dispersion.

Principal peaks in the range 10 to 80 degrees two-theta, in order of falling intensity:
2θ 20.40, d = 4.354 Å, I = 100, (1 0 0)
2θ 35.72, d = 2.514 Å, I = 89, (1 1 1)
2θ 29.00, d = 3.079 Å, I = 86, (1 1 0)
2θ 46.64, d = 1.947 Å, I = 49, (2 1 0)
2θ 41.48, d = 2.177 Å, I = 44, (2 0 0)
2θ 51.40, d = 1.778 Å, I = 37, (2 1 1)
2θ 71.92, d = 1.313 Å, I = 35, (3 1 1)
2θ 60.10, d = 1.539 Å, I = 30, (2 2 0)
2θ 64.17, d = 1.451 Å, I = 24, (3 0 0)
2θ 68.10, d = 1.377 Å, I = 16, (3 1 0)

Cell and atoms:
```
data_Al3Tl
_chemical_formula_sum 'Al3 Tl1'
_cell_length_a 4.354
_cell_length_b 4.354
_cell_length_c 4.354
_cell_angle_alpha 90.00
_cell_angle_beta 90.00
_cell_angle_gamma 90.00
_space_group_name_H-M_alt 'P m -3 m'
_space_group_IT_number 221
_space_group_name_Hall '-P 4 2 3'
loop_
_atom_site_label
_atom_site_type_symbol
_atom_site_fract_x
_atom_site_fract_y
_atom_site_fract_z
Al1 Al 0.000 0.000 0.500
Tl1 Tl 0.500 0.500 0.500
```

***

Entry 2:
Diffraction record for Zn2P3O16. The powder XRD pattern is computed, not measured: it uses a cell relaxed with GGA-PBE and a wavelength of 1.5418 Å.
Neutral-atom scattering factors, no anomalous dispersion.

Principal peaks in the range 10 to 80 degrees two-theta, in order of falling intensity:
2θ 11.24, d = 7.869 Å, I = 100, (1 -1 0)
2θ 12.31, d = 7.193 Å, I = 45, (1 0 -1)
2θ 11.49, d = 7.704 Å, I = 45, (0 1 -1)
2θ 21.06, d = 4.218 Å, I = 45, (1 1 -2)
2θ 20.66, d = 4.299 Å, I = 43, (-2 1 1)
2θ 17.48, d = 5.074 Å, I = 38, (0 0 2)
2θ 31.37, d = 2.851 Å, I = 36, (1 0 3)
2θ 29.44, d = 3.034 Å, I = 30, (-2 3 1)
2θ 34.17, d = 2.624 Å, I = 28, (3 -3 0)
2θ 29.62, d = 3.016 Å, I = 22, (1 -1 3)

Cell and atoms:
```
data_Zn2P3O16
_chemical_formula_sum 'Zn4 P6 O32'
_cell_length_a 8.841
_cell_length_b 10.350
_cell_length_c 10.594
_cell_angle_alpha 96.24
_cell_angle_beta 101.42
_cell_angle_gamma 113.10
_space_group_name_H-M_alt 'P -1'
_space_group_IT_number 2
_space_group_name_Hall '-P 1'
loop_
_atom_site_label
_atom_site_type_symbol
_atom_site_fract_x
_atom_site_fract_y
_atom_site_fract_z
Zn1 Zn 0.000 0.000 0.000
Zn2 Zn 0.235 0.518 0.949
Zn3 Zn 0.500 0.500 0.500
P1 P 0.039 0.711 0.922
P2 P 0.269 0.278 0.233
P3 P 0.484 0.448 0.797
O1 O 0.010 0.287 0.571
O2 O 0.036 0.357 0.971
O3 O 0.081 0.701 0.360
O4 O 0.116 0.330 0.210
O5 O 0.126 0.876 0.967
O6 O 0.138 0.093 0.875
O7 O 0.161 0.657 0.878
O8 O 0.207 0.125 0.163
O9 O 0.245 0.563 0.530
O10 O 0.262 0.659 0.619
O11 O 0.311 0.423 0.822
O12 O 0.346 0.313 0.380
O13 O 0.405 0.376 0.162
O14 O 0.415 0.614 0.114
O15 O 0.465 0.040 0.002
O16 O 0.468 0.398 0.653
```